Theoretical X-ray diffraction stick pattern of Mn2TcB for λ = 1.5418 Å (Cu Kα), from a DFT-relaxed cell (GGA-PBE, Alexandria).
Lines closer than 0.1° are merged.

Crystal structure
```
data_Mn2TcB
_cell_length_a 6.4649
_cell_length_b 6.4649
_cell_length_c 4.3608
_cell_angle_alpha 90.00
_cell_angle_beta 90.00
_cell_angle_gamma 90.00
_space_group_name_H-M_alt 'I -4 2 d'
_space_group_IT_number 122
_space_group_name_Hall 'I -4 2bw'
loop_
_atom_site_label
_atom_site_type_symbol
_atom_site_fract_x
_atom_site_fract_y
_atom_site_fract_z
Mn1 Mn 0.1559 0.2500 0.1250
Tc1 Tc 0.0000 0.0000 0.5000
B1 B 0.0000 0.0000 0.0000
```

Top 10 peaks for 10° ≤ 2θ ≤ 80°, by angle:
two_theta, I/Imax
24.62, 14
37.32, 100
39.42, 40
46.12, 45
47.04, 30
56.98, 9
62.25, 23
64.46, 13
72.84, 9
76.91, 16